The following is a computed X-ray diffraction stick pattern of CsRb2V2O7. It was derived from DFT lattice parameters and positions (PBE+U), using a wavelength of 1.5418 Å.
Intensities are scaled so that the largest is 100.

Atomic structure:
```
CsRb2V2O7
1.0
3.4579 1.9964 8.0592
-3.4579 1.9964 8.0592
0.0000 -3.9928 8.0592
Cs Rb V O
1 2 2 7
direct
0.0000 0.0000 0.0000
0.2767 0.2767 0.2767
0.7233 0.7233 0.7233
0.4250 0.4250 0.4250
0.5750 0.5750 0.5750
0.1786 0.3779 0.6396
0.3604 0.6221 0.8214
0.3779 0.6396 0.1786
0.5000 0.5000 0.5000
0.6221 0.8214 0.3604
0.6396 0.1786 0.3779
0.8214 0.3604 0.6221
```

The 6 most intense peaks (2θ = 10–90°), sorted by position:
- 10.98 deg, I = 68
- 20.88 deg, I = 47
- 25.76 deg, I = 100
- 28.08 deg, I = 29
- 29.86 deg, I = 61
- 39.84 deg, I = 27